No. 1
# Pr2Zn3CdGa4
Simulated powder XRD pattern, Cu Kα X-rays. Input: a cell relaxed with PBE.
Kinematic intensities with the Lorentz-polarization factor, no thermal factor.

Main lines, in order of falling intensity (5 to 70 degrees two-theta):
hkl  Position (°2θ)  I (rel.)
1 1 2  33.7  100
2 0 0  41.7  52
1 0 3  32.3  48
1 0 5  47.0  26
2 1 3  53.8  22
2 1 5  64.6  19

Structure:
```
data_Pr2Zn3CdGa4
_symmetry_space_group_name_H-M 'P -4 m 2'
_symmetry_Int_Tables_number 115
_symmetry_space_group_name_Hall 'P -4 -2'
_cell_length_a 4.3276
_cell_length_b 4.3276
_cell_length_c 10.8087
_cell_angle_alpha 90.00
_cell_angle_beta 90.00
_cell_angle_gamma 90.00
loop_
_atom_site_label
_atom_site_type_symbol
_atom_site_fract_x
_atom_site_fract_y
_atom_site_fract_z
Pr1 Pr 0.0000 0.5000 0.2419
Zn1 Zn 0.0000 0.5000 0.8704
Zn2 Zn 0.5000 0.5000 0.5000
Cd1 Cd 0.0000 0.0000 0.5000
Ga1 Ga 0.0000 0.0000 0.0000
Ga2 Ga 0.0000 0.5000 0.6449
Ga3 Ga 0.5000 0.5000 0.0000
```

=====

No. 2
# Ce3SiAu
Simulated powder XRD pattern, Cu Kα X-rays. Input: a cell relaxed with PBE.
Kinematic intensities with the Lorentz-polarization factor, no thermal factor.

Main lines, in order of falling intensity (5 to 70 degrees two-theta):
hkl  Position (°2θ)  I (rel.)
1 5 1  36.4  100
1 1 0  12.6  70
2 2 1  32.9  67
0 0 1  20.6  66
2 4 0  31.9  52
2 4 1  38.2  48

Structure:
```
data_Ce3SiAu
_symmetry_space_group_name_H-M 'C m m m'
_symmetry_Int_Tables_number 65
_symmetry_space_group_name_Hall '-C 2 2'
_cell_length_a 7.7546
_cell_length_b 16.3064
_cell_length_c 4.3151
_cell_angle_alpha 90.00
_cell_angle_beta 90.00
_cell_angle_gamma 90.00
loop_
_atom_site_label
_atom_site_type_symbol
_atom_site_fract_x
_atom_site_fract_y
_atom_site_fract_z
Ce1 Ce 0.0000 0.1894 0.0000
Ce2 Ce 0.1675 0.5000 0.5000
Ce3 Ce 0.2500 0.2500 0.5000
Si1 Si 0.0000 0.3688 0.0000
Au1 Au 0.0000 0.0826 0.5000
```

=====

No. 3
# Zr3Au3C
Simulated powder XRD pattern, Cu Kα X-rays. Input: a cell relaxed with PBE.
Kinematic intensities with the Lorentz-polarization factor, no thermal factor.

Main lines, in order of falling intensity (5 to 70 degrees two-theta):
hkl  Position (°2θ)  I (rel.)
5 1 1  37.1  100
4 4 0  40.5  42
1 1 1  12.2  37
6 6 0  62.5  22
4 0 0  28.3  18
4 2 2  34.9  17

Structure:
Cell lengths 12.6015, 12.6015, 12.6015 Å; angles 90.00, 90.00, 90.00 degrees
Space group Fd-3m (No. 227, origin choice 2)
One atom of each set of equivalent atoms:
Zr (0.0633, 0.3750, 0.3750) x48
Au (0.0000, 0.0000, 0.5000) x16
Au (0.0336, 0.0336, 0.7164) x32
C (0.0000, 0.0000, 0.0000) x16

=====

No. 4
# Ca2AlSi3Rh4
Simulated powder XRD pattern, Cu Kα X-rays. Input: a cell relaxed with PBE.
Kinematic intensities with the Lorentz-polarization factor, no thermal factor.

Main lines, in order of falling intensity (5 to 70 degrees two-theta):
hkl  Position (°2θ)  I (rel.)
1 1 2  35.5  100
2 0 0  43.7  74
1 1 1  31.9  60
1 1 4  47.8  59
1 0 3  34.5  45
1 0 2  28.0  32

Structure:
```
data_Ca2AlSi3Rh4
_symmetry_space_group_name_H-M 'P -4 m 2'
_symmetry_Int_Tables_number 115
_symmetry_space_group_name_Hall 'P -4 -2'
_cell_length_a 4.1389
_cell_length_b 4.1389
_cell_length_c 10.0107
_cell_angle_alpha 90.00
_cell_angle_beta 90.00
_cell_angle_gamma 90.00
loop_
_atom_site_label
_atom_site_type_symbol
_atom_site_fract_x
_atom_site_fract_y
_atom_site_fract_z
Ca1 Ca 0.0000 0.5000 0.2466
Al1 Al 0.0000 0.0000 0.5000
Si1 Si 0.0000 0.5000 0.8770
Si2 Si 0.5000 0.5000 0.5000
Rh1 Rh 0.0000 0.0000 0.0000
Rh2 Rh 0.0000 0.5000 0.6353
Rh3 Rh 0.5000 0.5000 0.0000
```